[1]
For CsUVO6, a structure optimized by DFT (GGA+U) gives the theoretical powder diffraction line list in this record (Cu Kα X-rays).

Atomic structure:
a = 7.162 Å, b = 10.965 Å, c = 9.815 Å
α = 90.00°, β = 90.04°, γ = 90.00°
Space group P2_1/c (No. 14)
Asymmetric unit:
Cs (0.024, 0.240, 0.275) x4
U (0.496, 0.001, 0.805) x4
V (0.466, 0.711, 0.991) x4
O (0.236, 0.700, 0.981) x4
O (0.247, 0.534, 0.312) x4
O (0.255, 0.535, 0.696) x4
O (0.432, 0.149, 0.657) x4
O (0.453, 0.134, 0.363) x4
O (0.463, 0.129, 0.000) x4

Most intense lines, 2θ from 15° to 90°, sorted by position:
hkl	2θ/deg	d/Å	I_rel
0 0 2	18.08	4.907	359
1 2 0	20.40	4.353	816
2 0 0	24.86	3.581	418
1 2 -2	27.39	3.257	1000
0 1 3	28.47	3.135	171
1 1 -3	31.14	2.872	209
0 4 0	32.67	2.741	181
0 4 2	37.58	2.393	172
3 2 -2	45.37	1.999	235
2 4 -2	45.59	1.990	172


[2]
For CsZnFeF6, a structure optimized by DFT (GGA+U) gives the theoretical powder diffraction line list in this record (Cu Kα X-rays).

Atomic structure:
a = 7.453 Å, b = 7.517 Å, c = 10.704 Å
α = 90.00°, β = 90.00°, γ = 90.00°
Space group Imma (No. 74)
Asymmetric unit:
Cs (0.000, 0.250, 0.122) x4
Zn (0.250, 0.250, 0.750) x4
Fe (0.000, 0.000, 0.500) x4
F (0.000, 0.250, 0.435) x4
F (0.000, 0.250, 0.821) x4
F (0.189, 0.050, 0.621) x16

Most intense lines, 2θ from 15° to 90°, sorted by position:
hkl	2θ/deg	d/Å	I_rel
0 2 0	23.65	3.762	835
0 1 3	27.69	3.221	1000
1 2 1	27.86	3.202	963
2 1 1	27.99	3.187	975
0 2 2	29.03	3.076	273
2 0 2	29.20	3.058	297
0 3 3	44.17	2.051	291
3 0 3	44.41	2.040	382
0 4 0	48.39	1.881	934
2 5 1	67.81	1.382	227


[3]
For LuMoClO4, a structure optimized by DFT (GGA+U) gives the theoretical powder diffraction line list in this record (Cu Kα X-rays).

Atomic structure:
a = 5.940 Å, b = 6.501 Å, c = 6.940 Å
α = 73.47°, β = 77.85°, γ = 71.10°
Space group P-1 (No. 2)
Asymmetric unit:
Lu (0.242, 0.198, 0.369) x2
Mo (0.376, 0.356, 0.767) x2
Cl (0.010, 0.025, 0.726) x2
O (0.091, 0.523, 0.690) x2
O (0.344, 0.250, 0.034) x2
O (0.423, 0.474, 0.298) x2
O (0.478, 0.130, 0.629) x2

Most intense lines, 2θ from 15° to 90°, sorted by position:
hkl	2θ/deg	d/Å	I_rel
1 1 0	18.45	4.808	561
1 -1 0	24.72	3.602	1000
1 1 -1	26.01	3.426	540
0 0 2	27.03	3.298	212
0 1 2	27.66	3.225	346
1 2 1	28.57	3.125	432
1 0 2	29.62	3.016	278
2 1 1	30.97	2.888	303
1 2 2	33.60	2.667	190
3 2 1	47.97	1.896	233


[4]
For Sr2FeCoO6, a structure optimized by DFT (GGA+U) gives the theoretical powder diffraction line list in this record (Cu Kα X-rays).

Atomic structure:
a = 5.539 Å, b = 5.539 Å, c = 7.741 Å
α = 90.00°, β = 90.00°, γ = 90.00°
Space group P4/mmm (No. 123)
Asymmetric unit:
Sr (0.000, 0.500, 0.247) x4
Fe (0.000, 0.000, 0.000) x1
Fe (0.500, 0.500, 0.500) x1
Co (0.000, 0.000, 0.500) x1
Co (0.500, 0.500, 0.000) x1
O (0.000, 0.000, 0.251) x2
O (0.250, 0.250, 0.000) x4
O (0.252, 0.252, 0.500) x4
O (0.500, 0.500, 0.234) x2

Most intense lines, 2θ from 15° to 90°, sorted by position:
hkl	2θ/deg	d/Å	I_rel
2 0 0	32.32	2.770	508
1 1 2	32.52	2.753	1000
2 0 2	40.03	2.252	184
2 2 0	46.36	1.958	391
0 0 4	46.95	1.935	186
3 1 2	57.77	1.596	381
2 0 4	58.15	1.586	184
4 0 0	67.65	1.385	112
2 2 4	68.12	1.377	217
4 0 4	86.40	1.126	109


[5]
For EuMnO3, a structure optimized by DFT (GGA+U) gives the theoretical powder diffraction line list in this record (Cu Kα X-rays).

Atomic structure:
a = 3.877 Å, b = 3.877 Å, c = 3.877 Å
α = 90.00°, β = 90.00°, γ = 90.00°
Space group Pm-3m (No. 221)
Asymmetric unit:
Eu (0.000, 0.000, 0.000) x1
Mn (0.500, 0.500, 0.500) x1
O (0.000, 0.500, 0.500) x3

Most intense lines, 2θ from 15° to 90°, sorted by position:
hkl	2θ/deg	d/Å	I_rel
1 0 0	22.94	3.877	190
1 1 0	32.66	2.741	1000
1 1 1	40.29	2.238	214
2 0 0	46.87	1.938	314
2 1 0	52.80	1.734	100
2 1 1	58.30	1.583	379
2 2 0	68.45	1.371	185
3 1 0	77.92	1.226	164
3 1 1	82.52	1.169	72
2 2 2	87.07	1.119	64


[6]
For SrFe3P4O14, a structure optimized by DFT (GGA+U) gives the theoretical powder diffraction line list in this record (Cu Kα X-rays).

Atomic structure:
a = 7.658 Å, b = 7.875 Å, c = 9.710 Å
α = 90.00°, β = 112.25°, γ = 90.00°
Space group P2_1/c (No. 14)
Asymmetric unit:
Sr (0.000, 0.000, 0.000) x2
Fe (0.311, 0.124, 0.473) x4
Fe (0.500, 0.000, 0.000) x2
P (0.104, 0.055, 0.704) x4
P (0.387, 0.703, 0.192) x4
O (0.095, 0.510, 0.806) x4
O (0.120, 0.180, 0.590) x4
O (0.185, 0.628, 0.178) x4
O (0.225, 0.110, 0.866) x4
O (0.341, 0.627, 0.610) x4
O (0.472, 0.579, 0.113) x4
O (0.499, 0.714, 0.361) x4

Most intense lines, 2θ from 15° to 90°, sorted by position:
hkl	2θ/deg	d/Å	I_rel
0 2 0	22.58	3.937	345
1 2 0	25.88	3.442	646
2 1 -2	27.89	3.199	512
1 2 1	29.49	3.029	1000
1 1 -3	29.87	2.991	378
0 1 3	31.96	2.800	344
2 1 1	32.52	2.753	567
2 1 -3	33.02	2.713	470
3 0 -2	35.63	2.520	816
2 4 0	53.22	1.721	362


[7]
For Li2Cr3FeO8, a structure optimized by DFT (GGA+U) gives the theoretical powder diffraction line list in this record (Cu Kα X-rays).

Atomic structure:
a = 10.296 Å, b = 5.886 Å, c = 5.995 Å
α = 90.00°, β = 124.61°, γ = 90.00°
Space group C2/m (No. 12)
Asymmetric unit:
Li (0.000, 0.000, 0.000) x2
Li (0.000, 0.500, 0.000) x2
Cr (0.000, 0.000, 0.500) x2
Cr (0.250, 0.250, 0.500) x4
Fe (0.000, 0.500, 0.500) x2
O (0.021, 0.250, 0.288) x8
O (0.239, 0.000, 0.705) x4
O (0.242, 0.500, 0.705) x4

Most intense lines, 2θ from 15° to 90°, sorted by position:
hkl	2θ/deg	d/Å	I_rel
0 0 1	17.98	4.934	1000
4 0 -1	35.36	2.538	107
2 2 -1	35.68	2.516	222
4 0 0	42.68	2.118	194
2 2 -2	43.08	2.100	381
4 0 -3	46.91	1.937	89
2 2 -3	56.57	1.627	96
4 0 -4	61.86	1.500	142
6 2 -2	62.67	1.482	104
0 4 0	63.19	1.471	52


[8]
For CsV3O8, a structure optimized by DFT (GGA+U) gives the theoretical powder diffraction line list in this record (Cu Kα X-rays).

Atomic structure:
a = 5.153 Å, b = 8.773 Å, c = 8.510 Å
α = 90.00°, β = 97.77°, γ = 90.00°
Space group P2_1/m (No. 11)
Asymmetric unit:
Cs (0.067, 0.250, 0.447) x2
V (0.082, 0.250, 0.938) x2
V (0.439, 0.558, 0.168) x4
O (0.086, 0.750, 0.914) x2
O (0.114, 0.604, 0.201) x4
O (0.328, 0.090, 0.998) x4
O (0.423, 0.250, 0.768) x2
O (0.437, 0.552, 0.685) x4

Most intense lines, 2θ from 15° to 90°, sorted by position:
hkl	2θ/deg	d/Å	I_rel
1 0 1	21.56	4.122	392
0 2 1	22.85	3.891	230
0 1 2	23.41	3.800	519
1 0 -2	25.51	3.491	256
1 2 0	26.79	3.327	1000
1 1 -2	27.50	3.244	297
1 0 2	29.24	3.054	201
0 2 2	29.38	3.040	377
1 2 2	35.82	2.507	292
2 1 -2	40.06	2.251	220